Entry 1:
This entry pairs a crystal structure of Nd2TiCuS5 with its theoretical powder diffractogram. Radiation: CuKα. Structure: DFT lattice parameters and positions (PBE).
Lines closer than 0.1° are merged.

Largest 10 diffraction maxima, most intense first, 5° ≤ 2θ ≤ 70°:
2θ/deg  d/Å  I_rel
33.8  2.653  100
25.9  3.435  73
39.3  2.290  59
21.5  4.138  52
28.7  3.114  45
33.4  2.680  39
47.5  1.914  33
28.4  3.145  29
32.6  2.749  28
43.4  2.086  28

Unit cell a=8.4938 b=8.4938 c=11.3253 alpha=90.00 beta=90.00 gamma=153.96
Element x y z (fractional)
Nd 0.1163 0.8837 0.5000
Nd 0.1270 0.8730 0.1155
Nd 0.8730 0.1270 0.6155
Nd 0.8837 0.1163 0.0000
Ti 0.1912 0.8088 0.8176
Ti 0.8088 0.1912 0.3176
Cu 0.4323 0.5677 0.2525
Cu 0.5677 0.4323 0.7525
S 0.0520 0.9480 0.8589
S 0.2899 0.7101 0.4672
S 0.3042 0.6958 0.1686
S 0.3485 0.6515 0.8111
S 0.4984 0.5016 0.5800
S 0.5016 0.4984 0.0800
S 0.6515 0.3485 0.3111
S 0.6958 0.3042 0.6686
S 0.7101 0.2899 0.9672
S 0.9480 0.0520 0.3589


Entry 2:
This entry pairs a crystal structure of Sr2SeCl2F with its theoretical powder diffractogram. Radiation: CuKα. Structure: DFT lattice parameters and positions (PBE).
Lines closer than 0.1° are merged.

Largest 10 diffraction maxima, most intense first, 5° ≤ 2θ ≤ 70°:
2θ/deg  d/Å  I_rel
23.4  3.807  100
35.1  2.559  94
21.9  4.050  69
34.1  2.627  60
40.0  2.255  55
33.9  2.644  54
41.4  2.181  50
43.1  2.097  50
53.5  1.713  44
32.1  2.791  43

Unit cell a=8.5649 b=8.5649 c=8.5649 alpha=125.83 beta=67.84 gamma=142.36
Element x y z (fractional)
Sr 0.1110 0.1870 0.2980
Sr 0.3890 0.6870 0.0761
Sr 0.6110 0.3130 0.9239
Sr 0.8890 0.8130 0.7020
Se 0.2500 0.7500 0.5000
Se 0.7500 0.2500 0.5000
Cl 0.1934 0.8404 0.0338
Cl 0.3066 0.3404 0.6470
Cl 0.6934 0.6596 0.3530
Cl 0.8066 0.1596 0.9662
F 0.2500 0.2500 0.0000
F 0.7500 0.7500 0.0000


Entry 3:
This entry pairs a crystal structure of CeNpBr5 with its theoretical powder diffractogram. Radiation: CuKα. Structure: DFT lattice parameters and positions (PBE).
Lines closer than 0.1° are merged.

Largest 10 diffraction maxima, most intense first, 5° ≤ 2θ ≤ 70°:
2θ/deg  d/Å  I_rel
12.3  7.171  100
33.0  2.713  43
30.6  2.923  37
43.6  2.074  36
25.0  3.557  33
41.1  2.195  25
30.8  2.901  25
33.9  2.642  23
29.7  3.004  22
40.6  2.221  21

Unit cell a=8.2368 b=4.1515 c=13.7081 alpha=90.00 beta=92.07 gamma=90.00
Element x y z (fractional)
Ce 0.0845 0.2500 0.1574
Ce 0.9155 0.7500 0.8426
Np 0.4305 0.7500 0.3470
Np 0.5695 0.2500 0.6530
Br 0.0607 0.7500 0.3175
Br 0.1463 0.2500 0.9308
Br 0.3125 0.2500 0.4853
Br 0.3471 0.7500 0.1296
Br 0.3506 0.7500 0.7201
Br 0.6494 0.2500 0.2799
Br 0.6529 0.2500 0.8704
Br 0.6875 0.7500 0.5147
Br 0.8537 0.7500 0.0692
Br 0.9393 0.2500 0.6825


Entry 4:
This entry pairs a crystal structure of Pr3Ho with its theoretical powder diffractogram. Radiation: CuKα. Structure: DFT lattice parameters and positions (PBE).
Lines closer than 0.1° are merged.

Largest 10 diffraction maxima, most intense first, 5° ≤ 2θ ≤ 70°:
2θ/deg  d/Å  I_rel
31.7  2.821  100
31.8  2.811  49
30.0  2.977  38
54.4  1.686  33
41.4  2.179  24
27.8  3.204  23
58.9  1.568  23
49.4  1.844  19
59.8  1.547  16
28.0  3.189  12

Unit cell a=7.0032 b=7.0032 c=7.0032 alpha=149.32 beta=63.55 gamma=125.83
Element x y z (fractional)
Pr 0.0000 0.0000 0.0000
Pr 0.4185 0.6659 0.7525
Pr 0.9134 0.6659 0.2475
Ho 0.4988 0.9988 0.5000


Entry 5:
This entry pairs a crystal structure of PmNd3Ho3S8 with its theoretical powder diffractogram. Radiation: CuKα. Structure: DFT lattice parameters and positions (PBE).
Lines closer than 0.1° are merged.

Largest 10 diffraction maxima, most intense first, 5° ≤ 2θ ≤ 70°:
2θ/deg  d/Å  I_rel
31.8  2.811  100
27.6  3.236  51
45.4  1.996  36
45.9  1.979  35
56.9  1.618  18
27.2  3.273  18
54.2  1.694  17
66.5  1.405  11
53.8  1.704  9
54.3  1.688  9

Unit cell a=7.9839 b=7.9839 c=7.9839 alpha=59.44 beta=59.44 gamma=59.44
Element x y z (fractional)
Pm 0.0000 0.0000 0.0000
Nd 0.0000 0.0000 0.5000
Nd 0.0000 0.5000 0.0000
Nd 0.5000 0.0000 0.0000
Ho 0.0000 0.5000 0.5000
Ho 0.5000 0.0000 0.5000
Ho 0.5000 0.5000 0.0000
S 0.2527 0.2527 0.7360
S 0.2527 0.7360 0.2527
S 0.2554 0.2554 0.2554
S 0.2640 0.7473 0.7473
S 0.7360 0.2527 0.2527
S 0.7446 0.7446 0.7446
S 0.7473 0.2640 0.7473
S 0.7473 0.7473 0.2640


Entry 6:
This entry pairs a crystal structure of Li3TcF8 with its theoretical powder diffractogram. Radiation: CuKα. Structure: DFT lattice parameters and positions (PBE).
Lines closer than 0.1° are merged.

Largest 10 diffraction maxima, most intense first, 5° ≤ 2θ ≤ 70°:
2θ/deg  d/Å  I_rel
17.8  4.983  100
25.3  3.523  65
51.9  1.762  59
31.1  2.877  36
44.5  2.034  26
40.5  2.228  26
55.3  1.661  19
61.7  1.502  15
67.8  1.382  14
58.6  1.576  11

Unit cell a=4.9827 b=4.9827 c=4.9827 alpha=90.00 beta=90.00 gamma=90.00
Element x y z (fractional)
Li 0.0000 0.0000 0.5000
Li 0.0000 0.5000 0.0000
Li 0.5000 0.0000 0.0000
Tc 0.5000 0.5000 0.5000
F 0.2648 0.2648 0.2648
F 0.2648 0.2648 0.7352
F 0.2648 0.7352 0.2648
F 0.2648 0.7352 0.7352
F 0.7352 0.2648 0.2648
F 0.7352 0.2648 0.7352
F 0.7352 0.7352 0.2648
F 0.7352 0.7352 0.7352